Record 1
Structure and theoretical X-ray diffraction stick pattern of Ac5La2Pm4 (a DFT-relaxed cell (PBE, Alexandria); copper Kα).
Kinematic intensities with the Lorentz-polarization factor, no thermal factor.

Structural model:
```
data_Ac5La2Pm4
_cell_length_a 9.372
_cell_length_b 3.736
_cell_length_c 12.684
_cell_angle_alpha 90.00
_cell_angle_beta 92.34
_cell_angle_gamma 90.00
_symmetry_space_group_name_H-M 'P 1 2/m 1'
_symmetry_Int_Tables_number 10
loop_
_symmetry_equiv_pos_as_xyz
'x,y,z'
'-x,-y,-z'
'-x,y,-z'
'x,-y,z'
loop_
_atom_site_label
_atom_site_type_symbol
_atom_site_fract_x
_atom_site_fract_y
_atom_site_fract_z
Ac1 Ac 0.000 0.000 0.000
Ac2 Ac 0.199 0.000 0.524
Ac3 Ac 0.276 0.000 0.812
La1 La 0.355 0.000 0.119
Pm1 Pm 0.076 0.500 0.268
Pm2 Pm 0.465 0.500 0.357
```

The 8 most intense peaks (10 to 90 degrees two-theta), low angle first:
d [Å], 2theta, Rel. int., hkl
3.360, 26.53, 29, 1 1 -1
3.218, 27.72, 24, 0 1 2
3.075, 29.04, 82, 2 0 3
3.061, 29.18, 100, 3 0 -1
3.039, 29.39, 69, 1 0 -4
2.920, 30.61, 43, 2 1 0
2.799, 31.98, 43, 0 1 3
1.595, 57.79, 52, 2 2 3

***

Record 2
Structure and theoretical X-ray diffraction stick pattern of Be3Pd (a DFT-relaxed cell (PBE, Alexandria); copper Kα).
Kinematic intensities with the Lorentz-polarization factor, no thermal factor.

Structural model:
```
data_Be3Pd
_cell_length_a 4.654
_cell_length_b 7.168
_cell_length_c 9.590
_cell_angle_alpha 90.00
_cell_angle_beta 90.00
_cell_angle_gamma 90.00
_symmetry_space_group_name_H-M 'F m m m'
_symmetry_Int_Tables_number 69
_symmetry_space_group_name_Hall '-F 2 2'
loop_
_atom_site_label
_atom_site_type_symbol
_atom_site_fract_x
_atom_site_fract_y
_atom_site_fract_z
Be1 Be 0.000 0.000 0.111
Be2 Be 0.250 0.250 0.000
Be3 Be 0.250 0.250 0.250
Pd1 Pd 0.000 0.000 0.353
```

The 8 most intense peaks (10 to 90 degrees two-theta), low angle first:
d [Å], 2theta, Rel. int., hkl
3.615, 24.62, 100, 1 1 1
3.584, 24.84, 70, 0 2 0
2.473, 36.33, 95, 1 1 3
2.327, 38.70, 22, 2 0 0
2.075, 43.61, 22, 1 3 1
1.993, 45.52, 31, 0 2 4
1.952, 46.53, 38, 2 2 0
1.770, 51.64, 34, 1 3 3

***

Record 3
Structure and theoretical X-ray diffraction stick pattern of ThCo6Si2 (a DFT-relaxed cell (PBE, Alexandria); copper Kα).
Kinematic intensities with the Lorentz-polarization factor, no thermal factor.

Structural model:
Lattice parameters (Å, degrees): 10.251 10.251 10.251 90.00 90.00 90.00
Space group Fd-3m (No. 227, origin choice 2)
Symmetry-distinct sites (fractional):
Th (0.125, 0.125, 0.125)
Co (0.125, 0.125, 0.375)
Si (0.000, 0.000, 0.500)

The 8 most intense peaks (10 to 90 degrees two-theta), low angle first:
d [Å], 2theta, Rel. int., hkl
5.918, 14.97, 53, 1 1 1
3.091, 28.89, 78, 3 1 1
2.563, 35.01, 99, 4 0 0
1.973, 46.01, 29, 3 3 3
1.812, 50.35, 100, 4 4 0
1.480, 62.80, 23, 4 4 4
1.335, 70.57, 19, 7 3 1
1.146, 84.54, 29, 8 4 0

***

Record 4
Structure and theoretical X-ray diffraction stick pattern of Cs2ThS10 (a DFT-relaxed cell (PBE, Alexandria); copper Kα).
Kinematic intensities with the Lorentz-polarization factor, no thermal factor.

Structural model:
```
data_Cs2ThS10
_cell_length_a 6.982
_cell_length_b 17.502
_cell_length_c 6.387
_cell_angle_alpha 90.00
_cell_angle_beta 90.00
_cell_angle_gamma 90.00
_symmetry_space_group_name_H-M 'P b a m'
_symmetry_Int_Tables_number 55
loop_
_symmetry_equiv_pos_as_xyz
'x,y,z'
'-x,-y,-z'
'-x,-y,z'
'x,y,-z'
'x+1/2,-y+1/2,-z'
'-x+1/2,y+1/2,z'
'-x+1/2,y+1/2,-z'
'x+1/2,-y+1/2,z'
loop_
_atom_site_label
_atom_site_type_symbol
_atom_site_fract_x
_atom_site_fract_y
_atom_site_fract_z
Cs1 Cs 0.110 0.145 0.000
Th1 Th 0.000 0.500 0.500
S1 S 0.018 0.771 0.500
S2 S 0.020 0.660 0.500
S3 S 0.105 0.044 0.500
S4 S 0.116 0.394 0.170
```

The 8 most intense peaks (10 to 90 degrees two-theta), low angle first:
d [Å], 2theta, Rel. int., hkl
6.485, 13.65, 30, 1 1 0
5.159, 17.19, 39, 0 2 1
4.551, 19.51, 86, 1 1 1
4.477, 19.83, 42, 1 3 0
3.610, 24.66, 100, 0 4 1
3.193, 27.94, 44, 0 0 2
2.600, 34.50, 33, 1 3 2
2.209, 40.86, 49, 1 7 1

***

Record 5
Structure and theoretical X-ray diffraction stick pattern of Al4Ga2Tc3 (a DFT-relaxed cell (PBE, Alexandria); copper Kα).
Kinematic intensities with the Lorentz-polarization factor, no thermal factor.

Structural model:
```
data_Al4Ga2Tc3
_cell_length_a 12.670
_cell_length_b 8.889
_cell_length_c 4.749
_cell_angle_alpha 90.00
_cell_angle_beta 100.21
_cell_angle_gamma 90.00
_symmetry_space_group_name_H-M 'C 1 2/c 1'
_symmetry_Int_Tables_number 15
loop_
_symmetry_equiv_pos_as_xyz
'x,y,z'
'-x,-y,-z'
'-x,y,-z+1/2'
'x,-y,z+1/2'
'x+1/2,y+1/2,z'
'-x+1/2,-y+1/2,-z'
'-x+1/2,y+1/2,-z+1/2'
'x+1/2,-y+1/2,z+1/2'
loop_
_atom_site_label
_atom_site_type_symbol
_atom_site_fract_x
_atom_site_fract_y
_atom_site_fract_z
Al1 Al 0.056 0.125 0.024
Al2 Al 0.224 0.377 0.858
Ga1 Ga 0.112 0.373 0.307
Tc1 Tc 0.000 0.378 0.750
Tc2 Tc 0.165 0.126 0.585
```

The 8 most intense peaks (10 to 90 degrees two-theta), low angle first:
d [Å], 2theta, Rel. int., hkl
3.760, 23.66, 49, 1 1 1
2.301, 39.14, 65, 5 1 -1
2.294, 39.28, 64, 1 1 -2
2.222, 40.60, 58, 0 4 0
2.115, 42.76, 100, 4 2 1
1.857, 49.06, 34, 5 3 -1
1.853, 49.17, 34, 1 3 -2
1.424, 65.56, 27, 5 5 -1

***

Record 6
Structure and theoretical X-ray diffraction stick pattern of TbNd8Sm4 (a DFT-relaxed cell (PBE, Alexandria); copper Kα).
Kinematic intensities with the Lorentz-polarization factor, no thermal factor.

Structural model:
```
data_TbNd8Sm4
_cell_length_a 11.8711
_cell_length_b 11.8711
_cell_length_c 11.7304
_cell_angle_alpha 90.00
_cell_angle_beta 90.00
_cell_angle_gamma 120.00
_symmetry_space_group_name_H-M 'R -3 m'
_symmetry_Int_Tables_number 166
_symmetry_space_group_name_Hall '-R 3 2"'
loop_
_atom_site_label
_atom_site_type_symbol
_atom_site_fract_x
_atom_site_fract_y
_atom_site_fract_z
Tb1 Tb 0.0000 0.0000 0.0000
Nd1 Nd 0.0000 0.0000 0.2567
Nd2 Nd 0.0014 0.5007 0.1679
Sm1 Sm 0.0000 0.0000 0.5000
Sm2 Sm 0.0000 0.5000 0.5000
```

The 8 most intense peaks (10 to 90 degrees two-theta), low angle first:
d [Å], 2theta, Rel. int., hkl
3.910, 22.74, 30, 0 0 3
3.265, 27.31, 16, 1 1 3
2.968, 30.11, 100, 2 2 0
2.364, 38.07, 47, 2 2 3
1.713, 53.48, 20, 6 0 0
1.633, 56.35, 17, 2 2 6
1.569, 58.84, 13, 6 0 3
1.484, 62.60, 12, 4 4 0

***

Record 7
Structure and theoretical X-ray diffraction stick pattern of Sr2CuCl6 (a DFT-relaxed cell (PBE, Alexandria); copper Kα).
Kinematic intensities with the Lorentz-polarization factor, no thermal factor.

Structural model:
```
data_Sr2CuCl6
_cell_length_a 6.433
_cell_length_b 7.948
_cell_length_c 11.079
_cell_angle_alpha 90.00
_cell_angle_beta 124.44
_cell_angle_gamma 90.00
_symmetry_space_group_name_H-M 'P 1 21/c 1'
_symmetry_Int_Tables_number 14
loop_
_symmetry_equiv_pos_as_xyz
'x,y,z'
'-x,-y,-z'
'-x,y+1/2,-z+1/2'
'x,-y+1/2,z+1/2'
loop_
_atom_site_label
_atom_site_type_symbol
_atom_site_fract_x
_atom_site_fract_y
_atom_site_fract_z
Sr1 Sr 0.219 0.119 0.263
Cu1 Cu 0.500 0.000 0.000
Cl1 Cl 0.142 0.145 0.950
Cl2 Cl 0.269 0.674 0.941
Cl3 Cl 0.370 0.026 0.761
```

The 8 most intense peaks (10 to 90 degrees two-theta), low angle first:
d [Å], 2theta, Rel. int., hkl
5.997, 14.77, 59, 0 1 1
5.215, 17.00, 72, 1 0 -2
4.412, 20.12, 56, 1 1 0
4.360, 20.37, 54, 1 1 -2
2.848, 31.42, 83, 2 1 -1
2.450, 36.69, 84, 1 3 -1
2.418, 37.18, 100, 0 2 3
2.284, 39.45, 48, 0 0 4

***

What is the formula in the fifth record?
Al4Ga2Tc3